[1]
Structure and simulated powder X-ray diffraction pattern of K5WO5 (a GGA+U-relaxed structure; Cu Kα (λ = 1.5418 Å)).

Structural model:
```
data_K5WO5
_chemical_formula_sum 'K5 W1 O5'
_cell_length_a 6.442
_cell_length_b 6.442
_cell_length_c 7.602
_cell_angle_alpha 98.52
_cell_angle_beta 98.52
_cell_angle_gamma 58.16
_space_group_name_H-M_alt 'P 1'
_space_group_IT_number 1
loop_
_space_group_symop_operation_xyz
'x,y,z'
loop_
_atom_site_label
_atom_site_type_symbol
_atom_site_fract_x
_atom_site_fract_y
_atom_site_fract_z
_atom_site_occupancy
K1 K 0.000 0.000 0.000 1
K2 K 0.309 0.368 0.236 1
K3 K 0.328 0.310 0.656 1
K4 K 0.632 0.691 0.764 1
K5 K 0.690 0.672 0.344 1
W1 W 0.942 0.058 0.500 1
O1 O 0.081 0.195 0.374 1
O2 O 0.172 0.015 0.697 1
O3 O 0.641 0.359 0.500 1
O4 O 0.805 0.919 0.626 1
O5 O 0.985 0.828 0.303 1
```

Main lines, in order of rising 2θ (10 to 80 degrees two-theta):
2θ (°)	I/Imax
11.8	100
16.3	59
27.7	49
28.0	56
28.5	37
31.0	39

***

[2]
Structure and simulated powder X-ray diffraction pattern of KW3O9 (a GGA+U-relaxed structure; Cu Kα (λ = 1.5418 Å)).

Structural model:
```
data_KW3O9
_chemical_formula_sum 'K2 W6 O18'
_cell_length_a 7.547
_cell_length_b 7.547
_cell_length_c 7.763
_cell_angle_alpha 90.04
_cell_angle_beta 90.04
_cell_angle_gamma 120.55
_space_group_name_H-M_alt 'P 1'
_space_group_IT_number 1
loop_
_space_group_symop_operation_xyz
'x,y,z'
loop_
_atom_site_label
_atom_site_type_symbol
_atom_site_fract_x
_atom_site_fract_y
_atom_site_fract_z
_atom_site_occupancy
K1 K 0.045 0.955 0.500 1
K2 K 0.955 0.045 0.000 1
W1 W 0.001 0.501 0.251 1
W2 W 0.001 0.501 0.751 1
W3 W 0.501 0.001 0.251 1
W4 W 0.501 0.001 0.751 1
W5 W 0.501 0.501 0.250 1
W6 W 0.501 0.501 0.750 1
O1 O 0.029 0.534 0.494 1
O2 O 0.211 0.422 0.244 1
O3 O 0.212 0.789 0.777 1
O4 O 0.214 0.790 0.224 1
O5 O 0.215 0.420 0.758 1
O6 O 0.420 0.215 0.258 1
O7 O 0.422 0.211 0.744 1
O8 O 0.468 0.974 0.507 1
O9 O 0.496 0.507 0.500 1
O10 O 0.507 0.496 0.000 1
O11 O 0.534 0.029 0.994 1
O12 O 0.581 0.791 0.757 1
O13 O 0.583 0.787 0.243 1
O14 O 0.787 0.583 0.743 1
O15 O 0.789 0.212 0.277 1
O16 O 0.790 0.214 0.724 1
O17 O 0.791 0.581 0.257 1
O18 O 0.974 0.468 0.007 1
```

Main lines, in order of rising 2θ (10 to 80 degrees two-theta):
2θ (°)	I/Imax
13.6	44
22.9	70
26.7	44
27.2	49
27.4	100
36.0	51

***

[3]
Structure and simulated powder X-ray diffraction pattern of KW3O9 (a GGA+U-relaxed structure; Cu Kα (λ = 1.5418 Å)).

Structural model:
```
data_KW3O9
_chemical_formula_sum 'K1 W3 O9'
_cell_length_a 7.521
_cell_length_b 7.521
_cell_length_c 3.881
_cell_angle_alpha 90.00
_cell_angle_beta 90.00
_cell_angle_gamma 120.00
_space_group_name_H-M_alt 'P 1'
_space_group_IT_number 1
loop_
_space_group_symop_operation_xyz
'x,y,z'
loop_
_atom_site_label
_atom_site_type_symbol
_atom_site_fract_x
_atom_site_fract_y
_atom_site_fract_z
_atom_site_occupancy
K1 K 0.000 0.000 0.000 1
W1 W 0.000 0.500 0.599 1
W2 W 0.500 0.000 0.599 1
W3 W 0.500 0.500 0.599 1
O1 O 0.000 0.500 0.100 1
O2 O 0.210 0.420 0.600 1
O3 O 0.210 0.790 0.600 1
O4 O 0.420 0.210 0.600 1
O5 O 0.500 0.000 0.100 1
O6 O 0.500 0.500 0.100 1
O7 O 0.580 0.790 0.600 1
O8 O 0.790 0.210 0.600 1
O9 O 0.790 0.580 0.600 1
```

Main lines, in order of rising 2θ (10 to 80 degrees two-theta):
2θ (°)	I/Imax
13.6	42
22.9	46
26.7	27
27.4	100
36.0	49
55.1	26